Calculated X-ray powder pattern
Compound: KAl2CuS4
Radiation: Cu Kα
Structure: a cell relaxed with PBE
No peak broadening, texture or thermal motion is included.

Crystal structure
a = 5.4006 Å, b = 5.4006 Å, c = 12.3438 Å
α = 90.00°, β = 90.00°, γ = 90.00°
Fractional coordinates of all 16 atoms:
K: 0.0000 0.0000 0.0000
K: 0.5000 0.5000 0.5000
Al: 0.0000 0.5000 0.2500
Al: 0.0000 0.5000 0.7500
Al: 0.5000 0.0000 0.2500
Al: 0.5000 0.0000 0.7500
Cu: 0.0000 0.0000 0.5000
Cu: 0.5000 0.5000 0.0000
S: 0.2127 0.2127 0.6475
S: 0.2127 0.7873 0.3525
S: 0.2873 0.2873 0.1475
S: 0.2873 0.7127 0.8525
S: 0.7127 0.2873 0.8525
S: 0.7127 0.7127 0.1475
S: 0.7873 0.2127 0.3525
S: 0.7873 0.7873 0.6475

Top 10 peaks for 5 to 70 degrees two-theta, sorted by position:
| 2theta | Rel. int. |
| --- | --- |
| 17.93 | 14 |
| 23.29 | 7 |
| 27.47 | 100 |
| 36.31 | 9 |
| 37.47 | 7 |
| 43.45 | 4 |
| 44.59 | 41 |
| 47.63 | 17 |
| 50.38 | 14 |
| 55.86 | 22 |